Record 1
Calculated powder XRD pattern
Compound: Er2Mg3Cu2
Radiation: Cu Kα
Structure: a PBE-relaxed structure
Intensities are scaled so that the largest is 100.

Structural model:
Cell lengths 10.5746, 10.5746, 3.5495 Å; angles 90.00, 90.00, 157.59 degrees
Element x y z (fractional)
Er  0.1733  0.8267  0.0000
Er  0.8267  0.1733  0.0000
Mg  0.0000  0.0000  0.0000
Mg  0.4220  0.5780  0.5000
Mg  0.5780  0.4220  0.5000
Cu  0.2861  0.7139  0.5000
Cu  0.7139  0.2861  0.5000

Main lines, most intense first (2θ from 5° to 70°):
- 2θ 8.52, I 100
- 2θ 35.86, I 33
- 2θ 36.27, I 19
- 2θ 39.98, I 18
- 2θ 33.64, I 17
- 2θ 25.21, I 13
- 2θ 58.35, I 10
- 2θ 44.07, I 9

---

Record 2
Calculated powder XRD pattern
Compound: Nd3ErCu4
Radiation: Cu Kα
Structure: a PBE-relaxed structure
Intensities are scaled so that the largest is 100.

Structural model:
Cell lengths 5.5364, 4.5241, 7.2913 Å; angles 90.00, 91.29, 90.00 degrees
Element x y z (fractional)
Nd  0.0000  0.0000  0.0000
Nd  0.2409  0.0000  0.4950
Nd  0.5021  0.5000  0.8590
Er  0.7394  0.5000  0.3570
Cu  0.2496  0.5000  0.2155
Cu  0.5036  0.0000  0.1535
Cu  0.7498  0.0000  0.6326
Cu  0.9877  0.5000  0.7035

Main lines, most intense first (2θ from 5° to 70°):
- 2θ 39.88, I 100
- 2θ 31.52, I 95
- 2θ 35.81, I 47
- 2θ 28.11, I 43
- 2θ 34.40, I 43
- 2θ 40.38, I 41
- 2θ 35.28, I 40
- 2θ 28.43, I 40

---

Record 3
Calculated powder XRD pattern
Compound: NdEr3Cu4
Radiation: Cu Kα
Structure: a PBE-relaxed structure
Intensities are scaled so that the largest is 100.

Structural model:
Cell lengths 5.3624, 4.4578, 7.0818 Å; angles 90.00, 91.02, 90.00 degrees
Element x y z (fractional)
Nd  0.0000  0.0000  0.0000
Er  0.2693  0.5000  0.3669
Er  0.4992  0.5000  0.8602
Er  0.7675  0.0000  0.5021
Cu  0.0035  0.5000  0.7043
Cu  0.2659  0.0000  0.6417
Cu  0.5054  0.0000  0.1545
Cu  0.7511  0.5000  0.2237

Main lines, most intense first (2θ from 5° to 70°):
- 2θ 32.29, I 100
- 2θ 41.52, I 64
- 2θ 40.47, I 63
- 2θ 36.70, I 53
- 2θ 28.81, I 47
- 2θ 35.60, I 45
- 2θ 36.27, I 45
- 2θ 29.07, I 42

---

Record 4
Calculated powder XRD pattern
Compound: NdErCu2P4
Radiation: Cu Kα
Structure: a PBE-relaxed structure
Intensities are scaled so that the largest is 100.

Structural model:
Cell lengths 3.7541, 3.7541, 9.8622 Å; angles 90.00, 90.00, 90.00 degrees
Element x y z (fractional)
Nd  0.0000  0.0000  0.0000
Er  0.5000  0.5000  0.5354
Cu  0.0000  0.5000  0.2740
Cu  0.5000  0.0000  0.2740
P  0.0000  0.0000  0.4265
P  0.0000  0.5000  0.7609
P  0.5000  0.0000  0.7609
P  0.5000  0.5000  0.1241

Main lines, most intense first (2θ from 5° to 70°):
- 2θ 38.52, I 100
- 2θ 25.39, I 72
- 2θ 36.32, I 42
- 2θ 62.11, I 34
- 2θ 48.50, I 30
- 2θ 36.44, I 20
- 2θ 8.97, I 19
- 2θ 55.52, I 17

---

Record 5
Calculated powder XRD pattern
Compound: TbErCu2P4
Radiation: Cu Kα
Structure: a PBE-relaxed structure
Intensities are scaled so that the largest is 100.

Structural model:
Cell lengths 3.7154, 3.7154, 9.7040 Å; angles 90.00, 90.00, 90.00 degrees
Element x y z (fractional)
Tb  0.0000  0.0000  0.0000
Er  0.5000  0.5000  0.5379
Cu  0.0000  0.5000  0.2708
Cu  0.5000  0.0000  0.2708
P  0.0000  0.0000  0.4278
P  0.0000  0.5000  0.7669
P  0.5000  0.0000  0.7669
P  0.5000  0.5000  0.1146

Main lines, most intense first (2θ from 5° to 70°):
- 2θ 38.99, I 100
- 2θ 25.67, I 74
- 2θ 36.84, I 40
- 2θ 49.04, I 30
- 2θ 37.06, I 20
- 2θ 56.16, I 18
- 2θ 62.88, I 17
- 2θ 63.02, I 16

---

Record 6
Calculated powder XRD pattern
Compound: TbErCu2Pb
Radiation: Cu Kα
Structure: a PBE-relaxed structure
Intensities are scaled so that the largest is 100.

Structural model:
Cell lengths 3.6760, 7.3257, 7.3257 Å; angles 33.34, 90.00, 90.00 degrees
Element x y z (fractional)
Tb  0.0000  0.0000  0.0000
Er  0.0000  0.7286  0.7286
Cu  0.5000  0.1627  0.1627
Cu  0.5000  0.5690  0.5690
Pb  0.5000  0.3640  0.3640

Main lines, most intense first (2θ from 5° to 70°):
- 2θ 32.99, I 100
- 2θ 35.36, I 64
- 2θ 38.55, I 47
- 2θ 28.55, I 46
- 2θ 56.88, I 33
- 2θ 43.04, I 26
- 2θ 64.52, I 20
- 2θ 49.60, I 17

---

Record 7
Calculated powder XRD pattern
Compound: Y2ErCu4Pb4
Radiation: Cu Kα
Structure: a PBE-relaxed structure
Intensities are scaled so that the largest is 100.

Structural model:
Cell lengths 8.5940, 8.5940, 8.5940 Å; angles 149.20, 131.55, 58.52 degrees
Element x y z (fractional)
Y  0.1312  0.1312  0.0000
Y  0.8688  0.8688  0.0000
Er  0.5000  0.0000  0.5000
Cu  0.1406  0.3286  0.8120
Cu  0.4834  0.6714  0.8120
Cu  0.5166  0.3286  0.1880
Cu  0.8594  0.6714  0.1880
Pb  0.2109  0.5000  0.7109
Pb  0.2846  0.7846  0.5000
Pb  0.7154  0.2154  0.5000
Pb  0.7891  0.5000  0.2891

Main lines, most intense first (2θ from 5° to 70°):
- 2θ 32.64, I 100
- 2θ 33.44, I 76
- 2θ 44.35, I 59
- 2θ 39.48, I 45
- 2θ 32.44, I 26
- 2θ 23.21, I 24
- 2θ 27.96, I 24
- 2θ 23.73, I 24

---

Record 8
Calculated powder XRD pattern
Compound: Er2CuPt
Radiation: Cu Kα
Structure: a PBE-relaxed structure
Intensities are scaled so that the largest is 100.

Structural model:
Cell lengths 4.4284, 5.4403, 7.0288 Å; angles 90.00, 90.00, 90.00 degrees
Element x y z (fractional)
Er  0.0000  0.1088  0.0000
Er  0.0000  0.8912  0.5000
Er  0.5000  0.3825  0.3651
Er  0.5000  0.6175  0.8651
Cu  0.0000  0.3903  0.6454
Cu  0.0000  0.6097  0.1454
Pt  0.5000  0.1138  0.7192
Pt  0.5000  0.8862  0.2192

Main lines, most intense first (2θ from 5° to 70°):
- 2θ 36.58, I 100
- 2θ 41.00, I 91
- 2θ 32.53, I 83
- 2θ 35.38, I 65
- 2θ 40.75, I 54
- 2θ 28.94, I 47
- 2θ 55.05, I 37
- 2θ 41.99, I 33